For PuTaVOs, a DFT-relaxed cell (PBE, Alexandria) gives the calculated powder X-ray diffraction pattern in this record (a wavelength of 1.5418 Å).

Peak list (8 most intense, 5 to 70 degrees two-theta, in order of rising 2θ)
d (Å), I (rel.)
3.759, 12
3.255, 9
2.302, 100
1.963, 7
1.880, 3
1.628, 17
1.494, 3
1.456, 4

abc: 4.6039 4.6039 4.6039
angles: 60.00 60.00 60.00
Atoms (fractional coordinates):
Pu 0.0000 0.0000 0.0000
Ta 0.5000 0.5000 0.5000
V 0.7500 0.7500 0.7500
Os 0.2500 0.2500 0.2500